For Ac14ErSc, a structure optimized by DFT (PBE) gives the computed XRD peak list in this record (Cu Ka).
No peak broadening, texture or thermal motion is included.

Cell and atoms:
```
data_Ac14ErSc
_cell_length_a 7.8281
_cell_length_b 7.8281
_cell_length_c 11.1498
_cell_angle_alpha 90.00
_cell_angle_beta 90.00
_cell_angle_gamma 90.00
_space_group_name_H-M_alt 'P 4/m m m'
_space_group_IT_number 123
_space_group_name_Hall '-P 4 2'
loop_
_atom_site_label
_atom_site_type_symbol
_atom_site_fract_x
_atom_site_fract_y
_atom_site_fract_z
Ac1 Ac 0.0000 0.0000 0.0000
Ac2 Ac 0.0000 0.5000 0.0000
Ac3 Ac 0.0000 0.5000 0.5000
Ac4 Ac 0.2486 0.2486 0.2586
Ac5 Ac 0.5000 0.5000 0.0000
Er1 Er 0.5000 0.5000 0.5000
Sc1 Sc 0.0000 0.0000 0.5000
```

The 10 most intense peaks (10° ≤ 2θ ≤ 80°), by angle:
- 2θ = 27.85°, I 100, (2 0 2)
- 2θ = 32.11°, I 17, (0 0 4)
- 2θ = 32.35°, I 34, (2 2 0)
- 2θ = 46.22°, I 25, (2 2 4)
- 2θ = 46.40°, I 13, (4 0 0)
- 2θ = 54.68°, I 15, (2 0 6)
- 2θ = 54.98°, I 31, (4 2 2)
- 2θ = 57.54°, I 13, (4 0 4)
- 2θ = 74.46°, I 12, (4 2 6)
- 2θ = 74.72°, I 6, (6 0 2)

---

For Ac2ErScTe6, a structure optimized by DFT (PBE) gives the computed XRD peak list in this record (Cu Ka).
No peak broadening, texture or thermal motion is included.

Cell and atoms:
```
data_Ac2ErScTe6
_cell_length_a 7.4729
_cell_length_b 8.3670
_cell_length_c 13.3375
_cell_angle_alpha 90.00
_cell_angle_beta 123.61
_cell_angle_gamma 90.00
_space_group_name_H-M_alt 'P 1 21/c 1'
_space_group_IT_number 14
loop_
_space_group_symop_operation_xyz
'x,y,z'
'-x,-y,-z'
'-x,y+1/2,-z+1/2'
'x,-y+1/2,z+1/2'
loop_
_atom_site_label
_atom_site_type_symbol
_atom_site_fract_x
_atom_site_fract_y
_atom_site_fract_z
Ac1 Ac 0.2003 0.1123 0.2481
Er1 Er 0.5000 0.0000 0.0000
Sc1 Sc 0.0000 0.0000 0.5000
Te1 Te 0.1042 0.1862 0.9407
Te2 Te 0.2693 0.6777 0.9415
Te3 Te 0.3734 0.0262 0.7443
```

The 10 most intense peaks (10° ≤ 2θ ≤ 80°), by angle:
- 2θ = 17.81°, I 44, (1 1 -2)
- 2θ = 22.69°, I 35, (1 1 -3)
- 2θ = 27.29°, I 68, (2 1 -1)
- 2θ = 28.88°, I 44, (1 1 2)
- 2θ = 29.03°, I 35, (1 1 -4)
- 2θ = 32.26°, I 100, (0 0 4)
- 2θ = 33.14°, I 39, (2 2 -3)
- 2θ = 34.32°, I 61, (1 3 -1)
- 2θ = 35.29°, I 37, (1 3 -2)
- 2θ = 41.28°, I 34, (3 1 -5)

---

For Ac2SmErSe6, a structure optimized by DFT (PBE) gives the computed XRD peak list in this record (Cu Ka).
No peak broadening, texture or thermal motion is included.

Cell and atoms:
```
data_Ac2SmErSe6
_cell_length_a 7.5976
_cell_length_b 7.5976
_cell_length_c 19.5991
_cell_angle_alpha 90.00
_cell_angle_beta 90.00
_cell_angle_gamma 120.00
_space_group_name_H-M_alt 'R 3'
_space_group_IT_number 146
_space_group_name_Hall 'R 3'
loop_
_atom_site_label
_atom_site_type_symbol
_atom_site_fract_x
_atom_site_fract_y
_atom_site_fract_z
Ac1 Ac 0.0000 0.0000 0.0000
Ac2 Ac 0.0000 0.0000 0.4990
Sm1 Sm 0.0000 0.0000 0.2098
Er1 Er 0.0000 0.0000 0.7083
Se1 Se 0.0586 0.3477 0.7797
Se2 Se 0.0624 0.7043 0.2814
```

The 10 most intense peaks (10° ≤ 2θ ≤ 80°), by angle:
- 2θ = 16.23°, I 43, (0 1 2)
- 2θ = 22.63°, I 100, (1 0 4)
- 2θ = 23.42°, I 77, (1 1 0)
- 2θ = 27.15°, I 51, (2 -1 3)
- 2θ = 32.79°, I 77, (0 2 4)
- 2θ = 36.27°, I 92, (2 -1 6)
- 2θ = 40.69°, I 63, (3 -1 4)
- 2θ = 41.16°, I 73, (3 0 0)
- 2θ = 48.46°, I 26, (1 0 10)
- 2θ = 64.61°, I 24, (3 2 4)

---

For Ac2ErThSe4, a structure optimized by DFT (PBE) gives the computed XRD peak list in this record (Cu Ka).
No peak broadening, texture or thermal motion is included.

Cell and atoms:
```
data_Ac2ErThSe4
_cell_length_a 7.4275
_cell_length_b 4.2241
_cell_length_c 7.5270
_cell_angle_alpha 90.00
_cell_angle_beta 108.62
_cell_angle_gamma 90.00
_space_group_name_H-M_alt 'P 1 2/m 1'
_space_group_IT_number 10
loop_
_space_group_symop_operation_xyz
'x,y,z'
'-x,-y,-z'
'-x,y,-z'
'x,-y,z'
loop_
_atom_site_label
_atom_site_type_symbol
_atom_site_fract_x
_atom_site_fract_y
_atom_site_fract_z
Ac1 Ac 0.0000 0.0000 0.0000
Ac2 Ac 0.5000 0.5000 0.0000
Er1 Er 0.0000 0.5000 0.5000
Th1 Th 0.5000 0.0000 0.5000
Se1 Se 0.2323 0.0000 0.7218
Se2 Se 0.2481 0.5000 0.2722
```

The 10 most intense peaks (10° ≤ 2θ ≤ 80°), by angle:
- 2θ = 25.69°, I 18, (1 1 -1)
- 2θ = 29.43°, I 100, (1 1 1)
- 2θ = 41.40°, I 13, (2 0 2)
- 2θ = 41.88°, I 25, (1 1 -3)
- 2θ = 42.32°, I 25, (3 1 -1)
- 2θ = 42.82°, I 12, (0 2 0)
- 2θ = 52.80°, I 13, (2 2 -2)
- 2θ = 61.06°, I 12, (2 2 2)
- 2θ = 68.90°, I 11, (0 2 4)
- 2θ = 69.52°, I 12, (4 2 0)

---

For Ac2Sm8Er3, a structure optimized by DFT (PBE) gives the computed XRD peak list in this record (Cu Ka).
No peak broadening, texture or thermal motion is included.

Cell and atoms:
```
data_Ac2Sm8Er3
_cell_length_a 13.3155
_cell_length_b 11.9192
_cell_length_c 6.2676
_cell_angle_alpha 90.00
_cell_angle_beta 113.64
_cell_angle_gamma 90.00
_space_group_name_H-M_alt 'C 1 2/m 1'
_space_group_IT_number 12
loop_
_space_group_symop_operation_xyz
'x,y,z'
'-x,-y,-z'
'-x,y,-z'
'x,-y,z'
'x+1/2,y+1/2,z'
'-x+1/2,-y+1/2,-z'
'-x+1/2,y+1/2,-z'
'x+1/2,-y+1/2,z'
loop_
_atom_site_label
_atom_site_type_symbol
_atom_site_fract_x
_atom_site_fract_y
_atom_site_fract_z
Ac1 Ac 0.1996 0.0000 0.3445
Sm1 Sm 0.0747 0.0000 0.7634
Sm2 Sm 0.1443 0.5000 0.0549
Sm3 Sm 0.1622 0.2493 0.6662
Er1 Er 0.0000 0.2451 0.0000
Er2 Er 0.0000 0.5000 0.5000
```

The 10 most intense peaks (10° ≤ 2θ ≤ 80°), by angle:
- 2θ = 29.39°, I 27, (2 2 1)
- 2θ = 29.93°, I 35, (1 1 -2)
- 2θ = 29.99°, I 55, (0 4 0)
- 2θ = 31.01°, I 100, (4 2 -1)
- 2θ = 32.35°, I 18, (2 2 -2)
- 2θ = 32.56°, I 28, (3 1 1)
- 2θ = 36.90°, I 21, (1 3 -2)
- 2θ = 39.11°, I 16, (3 3 1)
- 2θ = 53.89°, I 21, (4 6 -1)
- 2θ = 64.64°, I 14, (8 4 -2)

---

For Ac5Sm4Er, a structure optimized by DFT (PBE) gives the computed XRD peak list in this record (Cu Ka).
No peak broadening, texture or thermal motion is included.

Cell and atoms:
```
data_Ac5Sm4Er
_cell_length_a 3.8744
_cell_length_b 3.8744
_cell_length_c 25.7276
_cell_angle_alpha 90.00
_cell_angle_beta 90.00
_cell_angle_gamma 90.00
_space_group_name_H-M_alt 'P 4/m m m'
_space_group_IT_number 123
_space_group_name_Hall '-P 4 2'
loop_
_atom_site_label
_atom_site_type_symbol
_atom_site_fract_x
_atom_site_fract_y
_atom_site_fract_z
Ac1 Ac 0.0000 0.0000 0.0000
Ac2 Ac 0.0000 0.0000 0.2019
Ac3 Ac 0.0000 0.0000 0.4031
Sm1 Sm 0.5000 0.5000 0.1010
Sm2 Sm 0.5000 0.5000 0.3029
Er1 Er 0.5000 0.5000 0.5000
```

The 10 most intense peaks (10° ≤ 2θ ≤ 80°), by angle:
- 2θ = 28.85°, I 100, (1 0 5)
- 2θ = 32.69°, I 36, (1 1 0)
- 2θ = 34.87°, I 15, (0 0 10)
- 2θ = 46.90°, I 14, (2 0 0)
- 2θ = 48.54°, I 24, (1 1 10)
- 2θ = 56.00°, I 32, (2 1 5)
- 2θ = 58.88°, I 13, (1 0 15)
- 2θ = 59.76°, I 13, (2 0 10)
- 2θ = 75.97°, I 7, (3 0 5)
- 2θ = 78.46°, I 12, (2 1 15)

---

For AcSm6Er6, a structure optimized by DFT (PBE) gives the computed XRD peak list in this record (Cu Ka).
No peak broadening, texture or thermal motion is included.

Cell and atoms:
```
data_AcSm6Er6
_cell_length_a 6.7350
_cell_length_b 6.7350
_cell_length_c 11.4558
_cell_angle_alpha 90.00
_cell_angle_beta 90.00
_cell_angle_gamma 120.00
_space_group_name_H-M_alt 'P 6/m m m'
_space_group_IT_number 191
_space_group_name_Hall '-P 6 2'
loop_
_atom_site_label
_atom_site_type_symbol
_atom_site_fract_x
_atom_site_fract_y
_atom_site_fract_z
Ac1 Ac 0.0000 0.0000 0.0000
Sm1 Sm 0.0000 0.0000 0.3515
Sm2 Sm 0.3333 0.6667 0.0000
Sm3 Sm 0.3333 0.6667 0.5000
Er1 Er 0.0000 0.5000 0.2478
```

The 10 most intense peaks (10° ≤ 2θ ≤ 80°), by angle:
- 2θ = 26.47°, I 41, (1 1 0)
- 2θ = 27.93°, I 30, (1 0 3)
- 2θ = 30.66°, I 66, (2 0 0)
- 2θ = 30.80°, I 100, (1 1 2)
- 2θ = 31.23°, I 35, (0 0 4)
- 2θ = 34.51°, I 88, (2 0 2)
- 2θ = 34.90°, I 28, (1 0 4)
- 2θ = 49.51°, I 27, (3 0 2)
- 2θ = 54.50°, I 40, (2 2 0)
- 2θ = 55.31°, I 33, (1 1 6)

---

For Ac7Sm2Er, a structure optimized by DFT (PBE) gives the computed XRD peak list in this record (Cu Ka).
No peak broadening, texture or thermal motion is included.

Cell and atoms:
```
data_Ac7Sm2Er
_cell_length_a 10.1340
_cell_length_b 16.5014
_cell_length_c 6.0479
_cell_angle_alpha 90.00
_cell_angle_beta 90.00
_cell_angle_gamma 90.00
_space_group_name_H-M_alt 'C m m m'
_space_group_IT_number 65
_space_group_name_Hall '-C 2 2'
loop_
_atom_site_label
_atom_site_type_symbol
_atom_site_fract_x
_atom_site_fract_y
_atom_site_fract_z
Ac1 Ac 0.0000 0.0000 0.0000
Ac2 Ac 0.0000 0.2597 0.5000
Ac3 Ac 0.1849 0.3781 0.0000
Sm1 Sm 0.0000 0.2015 0.0000
Er1 Er 0.0000 0.5000 0.5000
```

The 10 most intense peaks (10° ≤ 2θ ≤ 80°), by angle:
- 2θ = 14.65°, I 62, (0 0 1)
- 2θ = 22.90°, I 33, (2 0 1)
- 2θ = 26.15°, I 67, (0 4 1)
- 2θ = 26.94°, I 24, (3 1 0)
- 2θ = 27.89°, I 100, (2 4 0)
- 2θ = 29.54°, I 76, (0 0 2)
- 2θ = 30.80°, I 82, (3 1 1)
- 2θ = 32.13°, I 72, (1 5 1)
- 2θ = 41.07°, I 73, (2 4 2)
- 2θ = 55.32°, I 27, (5 5 1)

---

For Ac3Sm6Er, a structure optimized by DFT (PBE) gives the computed XRD peak list in this record (Cu Ka).
No peak broadening, texture or thermal motion is included.

Cell and atoms:
```
data_Ac3Sm6Er
_cell_length_a 10.1374
_cell_length_b 10.1374
_cell_length_c 12.8862
_cell_angle_alpha 90.00
_cell_angle_beta 90.00
_cell_angle_gamma 120.00
_space_group_name_H-M_alt 'R 3'
_space_group_IT_number 146
_space_group_name_Hall 'R 3'
loop_
_atom_site_label
_atom_site_type_symbol
_atom_site_fract_x
_atom_site_fract_y
_atom_site_fract_z
Ac1 Ac 0.0000 0.0000 0.0000
Ac2 Ac 0.0000 0.0000 0.2575
Ac3 Ac 0.0000 0.0000 0.5153
Sm1 Sm 0.0006 0.3256 0.8347
Sm2 Sm 0.0083 0.6673 0.3481
Er1 Er 0.0000 0.0000 0.7576
```

The 10 most intense peaks (10° ≤ 2θ ≤ 80°), by angle:
- 2θ = 17.50°, I 18, (1 1 0)
- 2θ = 27.21°, I 57, (1 1 3)
- 2θ = 29.54°, I 24, (1 0 4)
- 2θ = 30.55°, I 100, (3 0 0)
- 2θ = 34.53°, I 17, (0 2 4)
- 2θ = 38.97°, I 24, (3 -1 4)
- 2θ = 41.36°, I 18, (4 -2 3)
- 2θ = 46.77°, I 13, (1 3 4)
- 2θ = 52.29°, I 18, (4 1 3)
- 2θ = 54.29°, I 20, (3 3 0)

---

For AcSm10Er6, a structure optimized by DFT (PBE) gives the computed XRD peak list in this record (Cu Ka).
No peak broadening, texture or thermal motion is included.

Cell and atoms:
```
data_AcSm10Er6
_cell_length_a 9.8127
_cell_length_b 9.8127
_cell_length_c 6.9045
_cell_angle_alpha 90.00
_cell_angle_beta 90.00
_cell_angle_gamma 120.00
_space_group_name_H-M_alt 'P -3 1 m'
_space_group_IT_number 162
_space_group_name_Hall '-P 3 2'
loop_
_atom_site_label
_atom_site_type_symbol
_atom_site_fract_x
_atom_site_fract_y
_atom_site_fract_z
Ac1 Ac 0.0000 0.0000 0.0000
Sm1 Sm 0.0000 0.2831 0.6738
Sm2 Sm 0.3333 0.6667 0.0000
Sm3 Sm 0.3333 0.6667 0.5000
Er1 Er 0.0000 0.3719 0.1882
```

The 10 most intense peaks (10° ≤ 2θ ≤ 80°), by angle:
- 2θ = 24.60°, I 12, (2 0 1)
- 2θ = 30.70°, I 35, (2 1 1)
- 2θ = 31.58°, I 82, (3 0 0)
- 2θ = 31.69°, I 100, (2 -1 2)
- 2θ = 40.44°, I 10, (3 1 1)
- 2θ = 45.35°, I 27, (2 2 2)
- 2θ = 48.52°, I 13, (5 -2 1)
- 2θ = 56.30°, I 29, (5 -1 2)
- 2θ = 56.52°, I 19, (1 1 4)
- 2θ = 62.30°, I 10, (5 1 1)

---

For Ac3Sm8Er, a structure optimized by DFT (PBE) gives the computed XRD peak list in this record (Cu Ka).
No peak broadening, texture or thermal motion is included.

Cell and atoms:
```
data_Ac3Sm8Er
_cell_length_a 6.8507
_cell_length_b 8.7827
_cell_length_c 8.7854
_cell_angle_alpha 103.18
_cell_angle_beta 109.48
_cell_angle_gamma 109.44
_space_group_name_H-M_alt 'P 1'
_space_group_IT_number 1
loop_
_space_group_symop_operation_xyz
'x,y,z'
loop_
_atom_site_label
_atom_site_type_symbol
_atom_site_fract_x
_atom_site_fract_y
_atom_site_fract_z
Ac1 Ac 0.0000 0.0000 0.0000
Ac2 Ac 0.0018 0.2651 0.7331
Ac3 Ac 0.5053 0.1428 0.8615
Sm1 Sm 0.0019 0.6682 0.6618
Sm2 Sm 0.0052 0.9231 0.4077
Sm3 Sm 0.0058 0.5975 0.0787
Sm4 Sm 0.0100 0.3446 0.3370
Sm5 Sm 0.4934 0.2216 0.4411
Sm6 Sm 0.5058 0.8815 0.1251
Sm7 Sm 0.5106 0.4897 0.1950
Sm8 Sm 0.5112 0.5622 0.7778
Er1 Er 0.4961 0.8078 0.5101
```

The 10 most intense peaks (10° ≤ 2θ ≤ 80°), by angle:
- 2θ = 29.65°, I 47, (-2 2 1)
- 2θ = 29.81°, I 46, (0 2 1)
- 2θ = 30.22°, I 100, (1 2 -2)
- 2θ = 30.93°, I 49, (2 0 0)
- 2θ = 31.38°, I 45, (1 0 -3)
- 2θ = 41.11°, I 16, (1 -4 1)
- 2θ = 44.53°, I 17, (3 0 -3)
- 2θ = 44.76°, I 17, (1 0 3)
- 2θ = 54.57°, I 19, (3 2 -2)
- 2θ = 59.58°, I 15, (-3 5 1)

---

For Ac2Sm4Er, a structure optimized by DFT (PBE) gives the computed XRD peak list in this record (Cu Ka).
No peak broadening, texture or thermal motion is included.

Cell and atoms:
```
data_Ac2Sm4Er
_cell_length_a 13.0061
_cell_length_b 25.4102
_cell_length_c 6.3242
_cell_angle_alpha 90.00
_cell_angle_beta 90.00
_cell_angle_gamma 90.00
_space_group_name_H-M_alt 'C c c e'
_space_group_IT_number 68
loop_
_space_group_symop_operation_xyz
'x,y,z'
'-x,-y,-z'
'-x+1/2,-y,z'
'x+1/2,y,-z'
'x+1/2,-y,-z+1/2'
'-x+1/2,y,z+1/2'
'-x,y,-z+1/2'
'x,-y,z+1/2'
'x+1/2,y+1/2,z'
'-x+1/2,-y+1/2,-z'
'-x,-y+1/2,z'
'x,y+1/2,-z'
'x,-y+1/2,-z+1/2'
'-x,y+1/2,z+1/2'
'-x+1/2,y+1/2,-z+1/2'
'x+1/2,-y+1/2,z+1/2'
loop_
_atom_site_label
_atom_site_type_symbol
_atom_site_fract_x
_atom_site_fract_y
_atom_site_fract_z
Ac1 Ac 0.0000 0.0432 0.2500
Ac2 Ac 0.1395 0.2500 0.7500
Sm1 Sm 0.1309 0.1748 0.2494
Sm2 Sm 0.1355 0.1064 0.7494
Er1 Er 0.2500 0.0000 0.4994
```

The 10 most intense peaks (10° ≤ 2θ ≤ 80°), by angle:
- 2θ = 28.22°, I 34, (0 0 2)
- 2θ = 28.33°, I 39, (4 2 0)
- 2θ = 29.18°, I 100, (1 7 1)
- 2θ = 30.57°, I 40, (3 5 1)
- 2θ = 32.26°, I 20, (2 2 2)
- 2θ = 35.23°, I 22, (3 7 1)
- 2θ = 39.76°, I 20, (4 0 2)
- 2θ = 50.56°, I 21, (1 7 3)
- 2θ = 57.60°, I 23, (7 7 1)
- 2θ = 58.65°, I 19, (0 14 2)